Theoretical PXRD pattern of Na4MgTiSi2SO12 for CuKα, from a cell relaxed with PBE.
Intensities are scaled so that the largest is 100.

```
42
Lattice="7.7488 -4.5594 0.0000 7.7488 4.5594 0.0000 -5.2633 0.0000 7.4231" Properties=species:S:1:pos:R:3 pbc="T T T"
Na 5.1171 3.9839 3.7115
Na 1.7949 1.0494 4.8552
Na 4.1219 2.2016 6.5439
Na 4.4265 -1.0494 1.1436
Na 8.3311 0.6275 2.0003
Na 5.6995 -0.6275 5.7118
Na 6.7535 -2.2016 2.8324
Na 7.7488 -3.9839 0.0000
Mg 6.4163 2.2641 0.3031
Mg 3.7847 -2.2641 4.0147
Ti 7.3234 2.0618 5.5893
Ti 9.9551 -2.0618 1.8778
Si 5.0941 0.9617 3.1898
Si 2.4625 -0.9617 6.9013
Si 12.1460 0.4207 1.0460
Si 9.5143 -0.4207 4.7576
S -1.6679 0.9340 6.3070
S 0.9638 -0.9340 2.5954
O 2.7214 1.1940 0.0683
O 1.9923 3.1427 6.0054
O -0.3261 1.4952 6.4910
O 0.9985 0.5620 2.4322
O 3.5796 1.6837 2.8798
O -1.6331 -0.5620 6.1437
O 8.1841 3.0252 1.3427
O 0.0897 -1.1940 3.7798
O 6.0224 1.1858 1.9092
O 5.6359 1.7755 4.5648
O 2.3829 0.6350 7.1853
O 2.3056 -1.4952 2.7795
O 0.9480 -1.6837 6.5913
O 5.0146 -0.6350 3.4738
O 6.4487 1.3213 7.1071
O 3.3908 -1.1858 5.6207
O 8.1408 0.5620 4.9615
O 4.6239 -3.1427 2.2939
O 8.2676 -1.7755 0.8533
O 10.7725 -0.5620 1.2500
O 10.7799 0.5081 4.5060
O 9.0803 -1.3213 3.3956
O 5.5524 -3.0252 5.0542
O 13.4116 -0.5081 0.7945
```

Top 6 peaks for 2θ = 10–90°, low angle first:
Position (°2θ), I_rel
22.93, 89
30.41, 76
31.07, 100
31.27, 71
31.63, 76
34.14, 81